# 1
# MgMn2B8O14
Theoretical powder diffraction line list, Cu Kα. Input: a cell relaxed with GGA+U.
Intensities are scaled so that the largest is 100.

Principal peaks in the range 2θ from 10° to 80°, sorted by position:
2θ/deg	I/Imax
10.2	100
19.2	6
20.5	23
22.3	8
28.6	8
31.0	8
33.2	9
35.8	7
41.7	6
47.6	11

Structure:
a b c (Å): 6.399 5.156 8.870
angles (deg): 90.00 102.53 90.00
Sites, in units of the cell vectors:
Mg 0.000 0.000 0.000
Mn 0.160 0.000 0.332
Mn 0.636 0.500 0.734
B 0.059 0.500 0.442
B 0.150 0.265 0.695
B 0.150 0.735 0.695
B 0.366 0.500 0.322
B 0.485 0.000 0.795
B 0.698 0.239 0.411
B 0.698 0.761 0.411
B 0.791 0.000 0.667
O 0.038 0.000 0.734
O 0.068 0.500 0.754
O 0.136 0.269 0.531
O 0.136 0.731 0.531
O 0.144 0.500 0.300
O 0.383 0.232 0.778
O 0.383 0.768 0.778
O 0.470 0.268 0.337
O 0.470 0.732 0.337
O 0.711 0.000 0.821
O 0.715 0.228 0.583
O 0.715 0.772 0.583
O 0.784 0.000 0.360
O 0.814 0.500 0.386


# 2
# MgMn2B8O14
Theoretical powder diffraction line list, Cu Kα. Input: a cell relaxed with GGA+U.
Intensities are scaled so that the largest is 100.

Principal peaks in the range 2θ from 10° to 80°, sorted by position:
2θ/deg	I/Imax
12.2	42
20.3	11
24.4	68
27.4	100
32.0	10
41.6	11
44.6	45
47.1	11
51.7	25
53.4	10

Structure:
a b c (Å): 7.353 7.353 5.046
angles (deg): 97.84 97.84 88.80
Sites, in units of the cell vectors:
Mg 0.000 0.000 0.000
Mn 0.311 0.311 0.177
Mn 0.689 0.689 0.823
B 0.228 0.459 0.679
B 0.241 0.759 0.500
B 0.253 0.747 0.000
B 0.459 0.228 0.679
B 0.541 0.772 0.321
B 0.747 0.253 0.000
B 0.759 0.241 0.500
B 0.772 0.541 0.321
O 0.166 0.822 0.239
O 0.178 0.834 0.761
O 0.213 0.552 0.462
O 0.229 0.539 0.937
O 0.270 0.270 0.630
O 0.448 0.787 0.538
O 0.461 0.771 0.063
O 0.539 0.229 0.937
O 0.552 0.213 0.462
O 0.730 0.730 0.370
O 0.771 0.461 0.063
O 0.787 0.448 0.538
O 0.822 0.166 0.239
O 0.834 0.178 0.761


# 3
# MgMn2B8O14
Theoretical powder diffraction line list, Cu Kα. Input: a cell relaxed with GGA+U.
Intensities are scaled so that the largest is 100.

Principal peaks in the range 2θ from 10° to 80°, sorted by position:
2θ/deg	I/Imax
30.0	82
32.1	100
37.5	31
37.9	52
42.9	33
45.6	56
46.1	26
47.6	62
48.9	41
53.0	40

Structure:
a b c (Å): 5.240 6.608 6.608
angles (deg): 115.47 90.00 90.00
Sites, in units of the cell vectors:
Mg 0.000 0.000 0.000
Mn 0.000 0.343 0.343
Mn 0.500 0.763 0.763
B 0.000 0.599 0.852
B 0.000 0.852 0.599
B 0.258 0.235 0.803
B 0.258 0.803 0.235
B 0.500 0.174 0.406
B 0.500 0.406 0.174
B 0.742 0.235 0.803
B 0.742 0.803 0.235
O 0.000 0.343 0.756
O 0.000 0.652 0.652
O 0.000 0.756 0.343
O 0.221 0.712 0.990
O 0.221 0.990 0.712
O 0.273 0.045 0.330
O 0.273 0.330 0.045
O 0.500 0.277 0.698
O 0.500 0.381 0.381
O 0.500 0.698 0.277
O 0.727 0.045 0.330
O 0.727 0.330 0.045
O 0.779 0.712 0.990
O 0.779 0.990 0.712